[1]
This entry pairs a crystal structure of CsIOF4 with its calculated powder diffraction line list. Radiation: Cu Kα, 1.54184 Å. Structure: a cell relaxed with GGA-PBE.
Intensities are scaled so that the largest is 1000.

Largest 10 diffraction maxima, sorted by position, 15° ≤ 2θ ≤ 90°:
| 2θ (°) | Rel. int. |
| --- | --- |
| 20.90 | 1000 |
| 22.51 | 248 |
| 26.35 | 559 |
| 26.60 | 190 |
| 28.19 | 206 |
| 29.02 | 140 |
| 37.03 | 206 |
| 39.77 | 211 |
| 40.91 | 146 |
| 57.31 | 158 |

Cell and atoms:
abc: 6.3303 6.1536 15.7993
angles: 90.00 90.00 90.00
Element x y z (fractional)
Cs1 0.2207 0.2500 0.1032
Cs2 0.2793 0.7500 0.6032
Cs3 0.7207 0.2500 0.3968
Cs4 0.7793 0.7500 0.8968
I1 0.2257 0.2500 0.8395
I2 0.2743 0.7500 0.3395
I3 0.7257 0.2500 0.6605
I4 0.7743 0.7500 0.1605
O1 0.0106 0.7500 0.1004
O2 0.4894 0.2500 0.6004
O3 0.5106 0.7500 0.3996
O4 0.9894 0.2500 0.8996
F1 0.1021 0.0184 0.7625
F2 0.1021 0.4816 0.7625
F3 0.1522 0.5217 0.4159
F4 0.1522 0.9783 0.4159
F5 0.3478 0.0217 0.9159
F6 0.3478 0.4783 0.9159
F7 0.3979 0.5184 0.2625
F8 0.3979 0.9816 0.2625
F9 0.6021 0.0184 0.7375
F10 0.6021 0.4816 0.7375
F11 0.6522 0.5217 0.0841
F12 0.6522 0.9783 0.0841
F13 0.8478 0.0217 0.5841
F14 0.8478 0.4783 0.5841
F15 0.8979 0.5184 0.2375
F16 0.8979 0.9816 0.2375



[2]
This entry pairs a crystal structure of CsPPbI2F6 with its calculated powder diffraction line list. Radiation: Cu Kα, 1.54184 Å. Structure: a cell relaxed with GGA-PBE.
Intensities are scaled so that the largest is 1000.

Largest 10 diffraction maxima, sorted by position, 15° ≤ 2θ ≤ 90°:
| 2θ (°) | Rel. int. |
| --- | --- |
| 17.45 | 764 |
| 20.65 | 1000 |
| 22.49 | 365 |
| 28.35 | 882 |
| 33.49 | 578 |
| 35.33 | 783 |
| 41.96 | 352 |
| 45.13 | 327 |
| 45.90 | 288 |
| 51.46 | 297 |

Cell and atoms:
abc: 6.2964 6.2964 8.6029
angles: 90.00 90.00 90.00
Element x y z (fractional)
Cs1 0.0000 0.0000 0.0000
P1 0.5000 0.5000 0.0000
Pb1 0.5000 0.5000 0.5000
I1 0.0000 0.5000 0.5000
I2 0.5000 0.0000 0.5000
F1 0.2403 0.5000 0.0000
F2 0.5000 0.2403 0.0000
F3 0.5000 0.5000 0.1919
F4 0.5000 0.5000 0.8081
F5 0.5000 0.7597 0.0000
F6 0.7597 0.5000 0.0000



[3]
This entry pairs a crystal structure of CsInF3 with its calculated powder diffraction line list. Radiation: Cu Kα, 1.54184 Å. Structure: a cell relaxed with GGA-PBE.
Intensities are scaled so that the largest is 1000.

Largest 10 diffraction maxima, sorted by position, 15° ≤ 2θ ≤ 90°:
| 2θ (°) | Rel. int. |
| --- | --- |
| 26.98 | 1000 |
| 33.20 | 40 |
| 38.52 | 349 |
| 47.66 | 420 |
| 55.61 | 225 |
| 62.87 | 185 |
| 69.69 | 73 |
| 76.21 | 214 |
| 82.56 | 34 |
| 88.81 | 113 |

Cell and atoms:
abc: 4.6743 4.6743 4.6743
angles: 90.00 90.00 90.00
Element x y z (fractional)
Cs1 0.0000 0.0000 0.0000
In1 0.5000 0.5000 0.5000
F1 0.0000 0.5000 0.5000
F2 0.5000 0.0000 0.5000
F3 0.5000 0.5000 0.0000



[4]
This entry pairs a crystal structure of CsInF3 with its calculated powder diffraction line list. Radiation: Cu Kα, 1.54184 Å. Structure: a cell relaxed with GGA-PBE.
Intensities are scaled so that the largest is 1000.

Largest 10 diffraction maxima, sorted by position, 15° ≤ 2θ ≤ 90°:
| 2θ (°) | Rel. int. |
| --- | --- |
| 26.32 | 1000 |
| 32.38 | 36 |
| 37.56 | 335 |
| 46.45 | 408 |
| 54.17 | 212 |
| 61.20 | 199 |
| 67.79 | 68 |
| 74.07 | 222 |
| 80.17 | 31 |
| 86.15 | 109 |

Cell and atoms:
abc: 6.7727 6.7727 6.7727
angles: 60.00 60.00 60.00
Element x y z (fractional)
Cs1 0.2500 0.2500 0.2500
Cs2 0.7500 0.7500 0.7500
In1 0.0000 0.0000 0.0000
In2 0.5000 0.5000 0.5000
F1 0.2217 0.2217 0.7783
F2 0.2217 0.7783 0.2217
F3 0.2217 0.7783 0.7783
F4 0.7783 0.2217 0.2217
F5 0.7783 0.2217 0.7783
F6 0.7783 0.7783 0.2217